Entry 1:
Diffraction record for CrAg2. The powder X-ray diffraction pattern is computed, not measured: it uses a DFT-relaxed cell (PBE, Alexandria) and Cu Kα (weighted mean of Kα1 and Kα2).
Kinematic intensities with the Lorentz-polarization factor, no thermal factor.

Structure:
Unit cell a=10.6883 b=2.9571 c=6.9466 alpha=90.00 beta=105.15 gamma=90.00
Space group Cm (No. 8)
Symmetry-distinct sites (fractional):
Cr 0.0000 0.0000 0.0000 (multiplicity 2)
Cr 0.1761 0.5000 0.3448 (multiplicity 2)
Ag 0.1180 0.5000 0.7318 (multiplicity 2)
Ag 0.2793 0.0000 0.0673 (multiplicity 2)
Ag 0.3399 0.0000 0.6710 (multiplicity 2)
Ag 0.4556 0.5000 0.3906 (multiplicity 2)

Top 10 peaks for 2θ from 10° to 80°, low angle first:
(hkl), 2theta, I/Imax
2 0 -1, 18.76, 19
1 1 1, 35.17, 51
2 0 2, 35.54, 27
4 0 -2, 38.06, 74
1 1 -2, 40.08, 100
3 1 0, 40.22, 97
0 0 3, 40.35, 46
4 0 1, 40.63, 46
2 0 -4, 52.87, 24
3 1 3, 63.59, 30

***

Entry 2:
Diffraction record for BaTbEuBiO6. The powder X-ray diffraction pattern is computed, not measured: it uses a DFT-relaxed cell (PBE, Alexandria) and Cu Kα (weighted mean of Kα1 and Kα2).
Kinematic intensities with the Lorentz-polarization factor, no thermal factor.

Structure:
Unit cell a=8.6827 b=8.6827 c=8.6827 alpha=90.00 beta=90.00 gamma=90.00
Space group F-43m (No. 216)
Symmetry-distinct sites (fractional):
Ba 0.0000 0.0000 0.0000 (multiplicity 4)
Tb 0.2500 0.2500 0.2500 (multiplicity 4)
Eu 0.0000 0.0000 0.5000 (multiplicity 4)
Bi 0.2500 0.2500 0.7500 (multiplicity 4)
O 0.0055 0.2500 0.7500 (multiplicity 24)

Top 10 peaks for 2θ from 10° to 80°, low angle first:
(hkl), 2theta, I/Imax
1 1 1, 17.69, 2
2 0 0, 20.46, 4
2 2 0, 29.09, 100
3 1 1, 34.25, 1
4 0 0, 41.61, 28
4 2 0, 46.79, 2
4 2 2, 51.57, 42
4 4 0, 60.30, 18
6 2 0, 68.33, 19
4 4 4, 75.92, 6

***

Entry 3:
Diffraction record for Cs2TiZnO4. The powder X-ray diffraction pattern is computed, not measured: it uses a DFT-relaxed cell (PBE, Alexandria) and Cu Kα (weighted mean of Kα1 and Kα2).
Kinematic intensities with the Lorentz-polarization factor, no thermal factor.

Structure:
Unit cell a=5.1480 b=12.8049 c=21.9067 alpha=90.00 beta=90.00 gamma=90.00
Space group Fddd (No. 70, origin choice 2)
Symmetry-distinct sites (fractional):
Cs 0.1250 0.1250 0.2975 (multiplicity 16)
Ti 0.1250 0.1250 0.6250 (multiplicity 8)
Zn 0.1250 0.1250 0.1250 (multiplicity 8)
O 0.1031 0.2937 0.8302 (multiplicity 32)

Top 10 peaks for 2θ from 10° to 80°, low angle first:
(hkl), 2theta, I/Imax
1 1 1, 19.02, 30
1 1 3, 22.24, 61
0 4 0, 27.87, 45
0 2 6, 28.14, 100
1 3 3, 29.82, 52
1 3 5, 34.11, 29
2 2 0, 37.66, 40
2 0 6, 42.99, 33
0 6 6, 49.47, 21
2 4 6, 52.02, 35